Theoretical powder X-ray diffraction pattern
Compound: LiSnP4O12
Radiation: CuKα
Structure: a crystal structure in the Materials Project, relaxed with GGA-PBE

Crystal structure
```
data_LiSnP4O12
_chemical_formula_sum 'Li2 Sn2 P8 O24'
_cell_length_a 7.426
_cell_length_b 7.447
_cell_length_c 10.037
_cell_angle_alpha 99.16
_cell_angle_beta 109.82
_cell_angle_gamma 109.02
_space_group_name_H-M_alt 'P 1'
_space_group_IT_number 1
loop_
_space_group_symop_operation_xyz
'x,y,z'
loop_
_atom_site_label
_atom_site_type_symbol
_atom_site_fract_x
_atom_site_fract_y
_atom_site_fract_z
Li1 Li 0.000 0.000 0.000
Li2 Li 0.011 0.506 0.504
Sn1 Sn 0.207 0.953 0.753
Sn2 Sn 0.806 0.054 0.252
P1 P 0.004 0.690 0.200
P2 P 0.008 0.314 0.803
P3 P 0.263 0.719 0.021
P4 P 0.309 0.268 0.524
P5 P 0.495 0.300 0.304
P6 P 0.518 0.705 0.700
P7 P 0.702 0.736 0.480
P8 P 0.750 0.285 0.980
O1 O 0.042 0.128 0.827
O2 O 0.047 0.656 0.346
O3 O 0.126 0.304 0.425
O4 O 0.127 0.801 0.921
O5 O 0.195 0.692 0.155
O6 O 0.213 0.496 0.937
O7 O 0.258 0.097 0.586
O8 O 0.307 0.715 0.677
O9 O 0.314 0.194 0.158
O10 O 0.446 0.229 0.438
O11 O 0.473 0.469 0.657
O12 O 0.496 0.832 0.083
O13 O 0.516 0.176 0.918
O14 O 0.539 0.534 0.348
O15 O 0.564 0.773 0.565
O16 O 0.698 0.813 0.845
O17 O 0.706 0.292 0.328
O18 O 0.746 0.904 0.414
O19 O 0.800 0.507 0.067
O20 O 0.816 0.316 0.846
O21 O 0.884 0.200 0.078
O22 O 0.886 0.703 0.580
O23 O 0.965 0.874 0.174
O24 O 0.969 0.350 0.657
```

The 10 most intense peaks (5° ≤ 2θ ≤ 70°), in order of rising 2θ:
- hkl 1 0 -1, 13.2 deg, I = 38.4
- hkl -1 1 1, 16.7 deg, I = 48.9
- hkl 1 0 1, 20.2 deg, I = 86.5
- hkl 2 -1 0, 25.5 deg, I = 54.9
- hkl -2 1 2, 27.2 deg, I = 53.4
- hkl 1 1 1, 28.7 deg, I = 100.0
- hkl -2 2 2, 33.8 deg, I = 23.3
- hkl -3 1 1, 36.5 deg, I = 20.8
- hkl 0 2 2, 38.0 deg, I = 15.9
- hkl 1 2 -4, 41.4 deg, I = 19.8